# 1
Computed PXRD pattern
Compound: RbY3Se4
Radiation: copper Kα
Structure: a cell relaxed with GGA-PBE
Kinematic intensities with the Lorentz-polarization factor, no thermal factor.

Cell and atoms:
abc: 4.161 4.161 29.250
angles: 90.00 90.00 120.00
Atoms (fractional coordinates):
1 Rb 0.333 0.667 0.250
2 Rb 0.667 0.333 0.750
3 Y 0.000 0.000 0.000
4 Y 0.000 0.000 0.500
5 Y 0.333 0.667 0.613
6 Y 0.333 0.667 0.887
7 Y 0.667 0.333 0.113
8 Y 0.667 0.333 0.387
9 Se 0.000 0.000 0.167
10 Se 0.000 0.000 0.333
11 Se 0.000 0.000 0.667
12 Se 0.000 0.000 0.833
13 Se 0.333 0.667 0.056
14 Se 0.333 0.667 0.444
15 Se 0.667 0.333 0.556
16 Se 0.667 0.333 0.944

Most intense lines, 10 to 90 degrees two-theta, low angle first:
d [Å]	2θ (°)	I (rel.)
3.068	29.11	61
2.898	30.86	100
2.729	32.82	16
2.140	42.24	31
2.080	43.50	62
2.019	44.90	22
1.690	54.28	20
1.312	71.99	17



# 2
Computed PXRD pattern
Compound: Tb8Sm6Zr
Radiation: copper Kα
Structure: a cell relaxed with GGA-PBE
Kinematic intensities with the Lorentz-polarization factor, no thermal factor.

Cell and atoms:
abc: 8.615 8.615 8.615
angles: 63.62 63.62 63.62
Atoms (fractional coordinates):
1 Tb 0.077 0.077 0.077
2 Tb 0.221 0.253 0.611
3 Tb 0.253 0.611 0.221
4 Tb 0.389 0.779 0.747
5 Tb 0.611 0.221 0.253
6 Tb 0.747 0.389 0.779
7 Tb 0.779 0.747 0.389
8 Tb 0.923 0.923 0.923
9 Sm 0.044 0.726 0.606
10 Sm 0.274 0.394 0.956
11 Sm 0.394 0.956 0.274
12 Sm 0.606 0.044 0.726
13 Sm 0.726 0.606 0.044
14 Sm 0.956 0.274 0.394
15 Zr 0.500 0.500 0.500

Most intense lines, 10 to 90 degrees two-theta, low angle first:
d [Å]	2θ (°)	I (rel.)
2.942	30.38	40
2.855	31.33	100
2.839	31.52	71
2.745	32.62	51
2.572	34.89	18
2.448	36.71	28
1.720	53.26	20
1.536	60.24	19



# 3
Computed PXRD pattern
Compound: SrLaBr2
Radiation: copper Kα
Structure: a cell relaxed with GGA-PBE
Kinematic intensities with the Lorentz-polarization factor, no thermal factor.

Cell and atoms:
abc: 4.070 4.070 10.014
angles: 90.00 90.00 122.79
Atoms (fractional coordinates):
1 Sr 0.000 0.000 0.000
2 La 0.000 0.000 0.500
3 Br 0.500 0.500 0.255
4 Br 0.500 0.500 0.745

Most intense lines, 10 to 90 degrees two-theta, low angle first:
d [Å]	2θ (°)	I (rel.)
3.574	24.92	47
2.825	31.67	100
2.503	35.87	18
2.050	44.17	20
1.883	48.33	30
1.711	53.57	11
1.500	61.85	14
1.412	66.16	12



# 4
Computed PXRD pattern
Compound: Li3BiO4
Radiation: copper Kα
Structure: a cell relaxed with GGA-PBE
Kinematic intensities with the Lorentz-polarization factor, no thermal factor.

Cell and atoms:
abc: 8.864 8.864 4.311
angles: 90.00 90.00 90.00
Atoms (fractional coordinates):
1 Li 0.104 0.386 0.000
2 Li 0.114 0.604 0.500
3 Li 0.130 0.870 0.000
4 Li 0.370 0.370 0.500
5 Li 0.386 0.104 0.000
6 Li 0.396 0.886 0.500
7 Li 0.604 0.114 0.500
8 Li 0.614 0.896 0.000
9 Li 0.630 0.630 0.500
10 Li 0.870 0.130 0.000
11 Li 0.886 0.396 0.500
12 Li 0.896 0.614 0.000
13 Bi 0.134 0.134 0.500
14 Bi 0.366 0.634 0.000
15 Bi 0.634 0.366 0.000
16 Bi 0.866 0.866 0.500
17 O 0.113 0.887 0.500
18 O 0.121 0.367 0.500
19 O 0.125 0.125 0.000
20 O 0.133 0.621 0.000
21 O 0.367 0.121 0.500
22 O 0.375 0.625 0.500
23 O 0.379 0.867 0.000
24 O 0.387 0.387 0.000
25 O 0.613 0.613 0.000
26 O 0.621 0.133 0.000
27 O 0.625 0.375 0.500
28 O 0.633 0.879 0.500
29 O 0.867 0.379 0.000
30 O 0.875 0.875 0.000
31 O 0.879 0.633 0.500
32 O 0.887 0.113 0.500

Most intense lines, 10 to 90 degrees two-theta, low angle first:
d [Å]	2θ (°)	I (rel.)
6.268	14.13	50
3.964	22.43	100
3.877	22.94	77
3.552	25.07	44
2.535	35.41	33
2.437	36.88	32
2.216	40.71	37
1.894	48.05	28



# 5
Computed PXRD pattern
Compound: PPd
Radiation: copper Kα
Structure: a cell relaxed with GGA-PBE
Kinematic intensities with the Lorentz-polarization factor, no thermal factor.

Cell and atoms:
abc: 3.387 4.298 4.540
angles: 73.57 78.04 77.28
Atoms (fractional coordinates):
1 P 0.230 0.173 0.372
2 P 0.770 0.827 0.628
3 Pd 0.348 0.340 0.817
4 Pd 0.652 0.660 0.183

Most intense lines, 10 to 90 degrees two-theta, low angle first:
d [Å]	2θ (°)	I (rel.)
3.264	27.32	46
2.752	32.53	90
2.643	33.92	71
2.426	37.06	45
2.354	38.24	100
2.133	42.38	71
2.043	44.35	46
1.939	46.84	56



# 6
Computed PXRD pattern
Compound: NdBeAg
Radiation: copper Kα
Structure: a cell relaxed with GGA-PBE
Kinematic intensities with the Lorentz-polarization factor, no thermal factor.

Cell and atoms:
abc: 9.218 9.218 4.082
angles: 90.00 90.00 157.53
Atoms (fractional coordinates):
1 Nd 0.103 0.897 0.750
2 Nd 0.897 0.103 0.250
3 Be 0.479 0.521 0.750
4 Be 0.521 0.479 0.250
5 Ag 0.243 0.757 0.250
6 Ag 0.757 0.243 0.750

Most intense lines, 10 to 90 degrees two-theta, low angle first:
d [Å]	2θ (°)	I (rel.)
3.721	23.92	39
3.524	25.27	27
3.014	29.64	31
2.549	35.21	13
2.462	36.50	100
2.425	37.08	14
2.162	41.78	16
2.041	44.38	16